Diffraction record for Nd2Dy5Tm12. The powder XRD pattern is calculated, not measured: it uses a DFT-relaxed cell (GGA-PBE, Alexandria) and Cu Kα.

Atomic structure:
```
data_Nd2Dy5Tm12
_chemical_formula_sum 'Nd2 Dy5 Tm12'
_space_group_name_H-M_alt 'P 1'
_space_group_IT_number 1
_cell_length_a 6.099
_cell_length_b 9.327
_cell_length_c 10.558
_cell_angle_alpha 101.02
_cell_angle_beta 95.59
_cell_angle_gamma 90.11
loop_
_space_group_symop_operation_xyz
'x,y,z'
loop_
_atom_site_label
_atom_site_fract_x
_atom_site_fract_y
_atom_site_fract_z
Nd1 0.080 0.315 0.473
Nd2 0.920 0.685 0.527
Dy1 0.238 0.947 0.420
Dy2 0.342 0.368 0.052
Dy3 0.500 0.000 0.000
Dy4 0.658 0.632 0.948
Dy5 0.762 0.053 0.580
Tm1 0.026 0.105 0.156
Tm2 0.132 0.526 0.792
Tm3 0.185 0.737 0.104
Tm4 0.289 0.158 0.739
Tm5 0.395 0.579 0.367
Tm6 0.447 0.790 0.686
Tm7 0.553 0.210 0.314
Tm8 0.605 0.421 0.633
Tm9 0.711 0.842 0.261
Tm10 0.815 0.263 0.896
Tm11 0.868 0.474 0.208
Tm12 0.974 0.895 0.844
```

Top 10 peaks for 5° ≤ 2θ ≤ 70°, in order of rising 2θ:
- 31.11 deg, d 2.875, intensity 100
- 36.07 deg, d 2.490, intensity 51
- 51.90 deg, d 1.762, intensity 24
- 52.02 deg, d 1.758, intensity 12
- 61.72 deg, d 1.503, intensity 18
- 61.82 deg, d 1.501, intensity 21
- 61.93 deg, d 1.498, intensity 4
- 64.75 deg, d 1.440, intensity 3
- 64.86 deg, d 1.437, intensity 6
- 64.97 deg, d 1.435, intensity 3

Diffraction record for Sr5Pb3. The powder XRD pattern is calculated, not measured: it uses a DFT-relaxed cell (GGA-PBE, Alexandria) and Cu Kα.

Atomic structure:
```
data_Sr5Pb3
_chemical_formula_sum 'Sr10 Pb6'
_space_group_name_H-M_alt 'P 1'
_space_group_IT_number 1
_cell_length_a 10.333
_cell_length_b 10.333
_cell_length_c 10.333
_cell_angle_alpha 130.08
_cell_angle_beta 130.08
_cell_angle_gamma 73.28
loop_
_space_group_symop_operation_xyz
'x,y,z'
loop_
_atom_site_label
_atom_site_fract_x
_atom_site_fract_y
_atom_site_fract_z
Sr1 0.000 0.000 0.000
Sr2 0.031 0.531 0.848
Sr3 0.183 0.031 0.500
Sr4 0.317 0.817 0.848
Sr5 0.469 0.317 0.500
Sr6 0.500 0.500 0.000
Sr7 0.531 0.683 0.500
Sr8 0.683 0.183 0.152
Sr9 0.817 0.969 0.500
Sr10 0.969 0.469 0.152
Pb1 0.126 0.374 0.500
Pb2 0.250 0.250 0.000
Pb3 0.374 0.874 0.249
Pb4 0.626 0.126 0.751
Pb5 0.750 0.750 0.000
Pb6 0.874 0.626 0.500
```

Top 12 peaks for 5° ≤ 2θ ≤ 70°, in order of rising 2θ:
- 10.67 deg, d 8.291, intensity 18
- 17.93 deg, d 4.948, intensity 47
- 28.00 deg, d 3.187, intensity 100
- 29.74 deg, d 3.004, intensity 36
- 32.46 deg, d 2.759, intensity 63
- 35.56 deg, d 2.525, intensity 37
- 37.58 deg, d 2.393, intensity 17
- 39.24 deg, d 2.296, intensity 19
- 42.89 deg, d 2.109, intensity 15
- 53.55 deg, d 1.711, intensity 16
- 55.46 deg, d 1.657, intensity 20
- 58.37 deg, d 1.581, intensity 17

Diffraction record for CdPH6CBr3. The powder XRD pattern is calculated, not measured: it uses a DFT-relaxed cell (GGA-PBE, Alexandria) and Cu Kα.

Atomic structure:
```
data_CdPH6CBr3
_chemical_formula_sum 'Cd4 P4 H24 C4 Br12'
_space_group_name_H-M_alt 'P 1'
_space_group_IT_number 1
_cell_length_a 7.035
_cell_length_b 8.595
_cell_length_c 15.513
_cell_angle_alpha 93.49
_cell_angle_beta 93.39
_cell_angle_gamma 93.44
loop_
_space_group_symop_operation_xyz
'x,y,z'
loop_
_atom_site_label
_atom_site_fract_x
_atom_site_fract_y
_atom_site_fract_z
Cd1 0.000 0.000 0.000
Cd2 0.025 0.500 0.501
Cd3 0.499 0.996 0.001
Cd4 0.528 0.499 0.501
P1 0.272 0.557 0.779
P2 0.290 0.055 0.278
P3 0.734 0.553 0.112
P4 0.750 0.054 0.611
H1 0.073 0.410 0.869
H2 0.122 0.015 0.226
H3 0.142 0.669 0.759
H4 0.173 0.974 0.412
H5 0.225 0.558 0.931
H6 0.271 0.445 0.708
H7 0.285 0.820 0.355
H8 0.294 0.217 0.302
H9 0.320 0.379 0.890
H10 0.428 0.978 0.412
H11 0.448 0.026 0.230
H12 0.455 0.635 0.790
H13 0.571 0.639 0.104
H14 0.587 0.140 0.597
H15 0.616 0.383 0.215
H16 0.620 0.886 0.712
H17 0.728 0.438 0.042
H18 0.742 0.058 0.766
H19 0.752 0.550 0.267
H20 0.753 0.937 0.543
H21 0.871 0.393 0.217
H22 0.876 0.903 0.723
H23 0.898 0.654 0.106
H24 0.914 0.156 0.608
C1 0.217 0.467 0.877
C2 0.294 0.945 0.373
C3 0.745 0.461 0.213
C4 0.747 0.967 0.713
Br1 0.229 0.981 0.861
Br2 0.244 0.779 0.077
Br3 0.256 0.493 0.361
Br4 0.265 0.273 0.570
Br5 0.280 0.223 0.081
Br6 0.312 0.721 0.583
Br7 0.722 0.762 0.931
Br8 0.744 0.264 0.429
Br9 0.753 0.213 0.931
Br10 0.772 0.003 0.146
Br11 0.786 0.715 0.432
Br12 0.800 0.501 0.646
```

Top 12 peaks for 5° ≤ 2θ ≤ 70°, in order of rising 2θ:
- 11.47 deg, d 7.715, intensity 100
- 12.14 deg, d 7.292, intensity 36
- 25.62 deg, d 3.477, intensity 10
- 26.11 deg, d 3.413, intensity 10
- 26.59 deg, d 3.352, intensity 13
- 26.70 deg, d 3.339, intensity 10
- 27.05 deg, d 3.297, intensity 9
- 28.54 deg, d 3.127, intensity 14
- 33.95 deg, d 2.641, intensity 8
- 34.12 deg, d 2.628, intensity 9
- 42.22 deg, d 2.141, intensity 11
- 50.59 deg, d 1.804, intensity 8

Diffraction record for Rb2NaPa2Te5. The powder XRD pattern is calculated, not measured: it uses a DFT-relaxed cell (GGA-PBE, Alexandria) and Cu Kα.

Atomic structure:
```
data_Rb2NaPa2Te5
_chemical_formula_sum 'Rb4 Na2 Pa4 Te10'
_space_group_name_H-M_alt 'P 1'
_space_group_IT_number 1
_cell_length_a 13.660
_cell_length_b 13.660
_cell_length_c 4.016
_cell_angle_alpha 90.00
_cell_angle_beta 90.00
_cell_angle_gamma 90.00
loop_
_space_group_symop_operation_xyz
'x,y,z'
loop_
_atom_site_label
_atom_site_fract_x
_atom_site_fract_y
_atom_site_fract_z
Rb1 0.179 0.321 0.000
Rb2 0.321 0.821 0.000
Rb3 0.679 0.179 0.000
Rb4 0.821 0.679 0.000
Na1 0.000 0.000 0.000
Na2 0.500 0.500 0.000
Pa1 0.122 0.622 0.000
Pa2 0.378 0.122 0.000
Pa3 0.622 0.878 0.000
Pa4 0.878 0.378 0.000
Te1 0.000 0.500 0.500
Te2 0.072 0.787 0.500
Te3 0.213 0.072 0.500
Te4 0.287 0.572 0.500
Te5 0.428 0.287 0.500
Te6 0.500 0.000 0.500
Te7 0.572 0.713 0.500
Te8 0.713 0.428 0.500
Te9 0.787 0.928 0.500
Te10 0.928 0.213 0.500
```

Top 12 peaks for 5° ≤ 2θ ≤ 70°, in order of rising 2θ:
- 9.16 deg, d 9.659, intensity 78
- 14.50 deg, d 6.109, intensity 96
- 26.91 deg, d 3.313, intensity 52
- 27.71 deg, d 3.220, intensity 27
- 30.39 deg, d 2.941, intensity 99
- 32.49 deg, d 2.756, intensity 100
- 34.48 deg, d 2.601, intensity 50
- 44.49 deg, d 2.036, intensity 22
- 45.16 deg, d 2.008, intensity 21
- 47.04 deg, d 1.932, intensity 29
- 53.94 deg, d 1.700, intensity 16
- 67.25 deg, d 1.392, intensity 20

Diffraction record for Nb3IrS8. The powder XRD pattern is calculated, not measured: it uses a DFT-relaxed cell (GGA-PBE, Alexandria) and Cu Kα.

Atomic structure:
```
data_Nb3IrS8
_chemical_formula_sum 'Nb6 Ir2 S16'
_space_group_name_H-M_alt 'P 1'
_space_group_IT_number 1
_cell_length_a 6.718
_cell_length_b 6.718
_cell_length_c 14.504
_cell_angle_alpha 110.08
_cell_angle_beta 110.08
_cell_angle_gamma 60.45
loop_
_space_group_symop_operation_xyz
'x,y,z'
loop_
_atom_site_label
_atom_site_fract_x
_atom_site_fract_y
_atom_site_fract_z
Nb1 0.142 0.858 0.750
Nb2 0.159 0.369 0.749
Nb3 0.369 0.159 0.249
Nb4 0.631 0.841 0.751
Nb5 0.841 0.631 0.251
Nb6 0.858 0.142 0.250
Ir1 0.417 0.583 0.250
Ir2 0.583 0.417 0.750
S1 0.021 0.724 0.152
S2 0.030 0.749 0.866
S3 0.220 0.489 0.623
S4 0.251 0.970 0.634
S5 0.260 0.533 0.364
S6 0.276 0.979 0.348
S7 0.467 0.740 0.136
S8 0.489 0.220 0.123
S9 0.511 0.780 0.877
S10 0.533 0.260 0.864
S11 0.724 0.021 0.652
S12 0.740 0.467 0.636
S13 0.749 0.030 0.366
S14 0.780 0.511 0.377
S15 0.970 0.251 0.134
S16 0.979 0.276 0.848
```

Top 12 peaks for 5° ≤ 2θ ≤ 70°, in order of rising 2θ:
- 13.30 deg, d 6.655, intensity 100
- 15.52 deg, d 5.710, intensity 7
- 30.59 deg, d 2.922, intensity 10
- 30.81 deg, d 2.902, intensity 5
- 33.48 deg, d 2.677, intensity 36
- 33.72 deg, d 2.658, intensity 20
- 41.10 deg, d 2.196, intensity 28
- 41.22 deg, d 2.190, intensity 7
- 41.34 deg, d 2.184, intensity 9
- 51.78 deg, d 1.766, intensity 19
- 54.65 deg, d 1.679, intensity 8
- 56.52 deg, d 1.628, intensity 8

Diffraction record for AcPr8Dy3. The powder XRD pattern is calculated, not measured: it uses a DFT-relaxed cell (GGA-PBE, Alexandria) and Cu Kα.

Atomic structure:
```
data_AcPr8Dy3
_chemical_formula_sum 'Ac1 Pr8 Dy3'
_space_group_name_H-M_alt 'P 1'
_space_group_IT_number 1
_cell_length_a 8.955
_cell_length_b 8.955
_cell_length_c 8.955
_cell_angle_alpha 135.78
_cell_angle_beta 98.89
_cell_angle_gamma 97.40
loop_
_space_group_symop_operation_xyz
'x,y,z'
loop_
_atom_site_label
_atom_site_fract_x
_atom_site_fract_y
_atom_site_fract_z
Ac1 0.000 0.000 0.000
Pr1 0.082 0.256 0.827
Pr2 0.280 0.226 0.506
Pr3 0.280 0.774 0.054
Pr4 0.429 0.256 0.173
Pr5 0.571 0.744 0.827
Pr6 0.720 0.226 0.946
Pr7 0.720 0.774 0.494
Pr8 0.918 0.744 0.173
Dy1 0.283 0.783 0.500
Dy2 0.500 0.500 0.000
Dy3 0.717 0.217 0.500
```

Top 12 peaks for 5° ≤ 2θ ≤ 70°, in order of rising 2θ:
- 15.18 deg, d 5.838, intensity 19
- 21.40 deg, d 4.152, intensity 19
- 26.47 deg, d 3.368, intensity 17
- 30.24 deg, d 2.955, intensity 38
- 30.52 deg, d 2.929, intensity 29
- 30.59 deg, d 2.922, intensity 100
- 34.29 deg, d 2.615, intensity 40
- 43.61 deg, d 2.075, intensity 18
- 49.33 deg, d 1.847, intensity 16
- 53.93 deg, d 1.700, intensity 15
- 56.36 deg, d 1.632, intensity 14
- 63.66 deg, d 1.462, intensity 12

Diffraction record for AlCrGaRe. The powder XRD pattern is calculated, not measured: it uses a DFT-relaxed cell (GGA-PBE, Alexandria) and Cu Kα.

Atomic structure:
```
data_AlCrGaRe
_chemical_formula_sum 'Al4 Cr4 Ga4 Re4'
_space_group_name_H-M_alt 'P 1'
_space_group_IT_number 1
_cell_length_a 6.029
_cell_length_b 6.029
_cell_length_c 6.029
_cell_angle_alpha 90.00
_cell_angle_beta 90.00
_cell_angle_gamma 90.00
loop_
_space_group_symop_operation_xyz
'x,y,z'
loop_
_atom_site_label
_atom_site_fract_x
_atom_site_fract_y
_atom_site_fract_z
Al1 0.000 0.000 0.000
Al2 0.000 0.500 0.500
Al3 0.500 0.000 0.500
Al4 0.500 0.500 0.000
Cr1 0.000 0.000 0.500
Cr2 0.000 0.500 0.000
Cr3 0.500 0.000 0.000
Cr4 0.500 0.500 0.500
Ga1 0.250 0.250 0.750
Ga2 0.250 0.750 0.250
Ga3 0.750 0.250 0.250
Ga4 0.750 0.750 0.750
Re1 0.250 0.250 0.250
Re2 0.250 0.750 0.750
Re3 0.750 0.250 0.750
Re4 0.750 0.750 0.250
```

Top 8 peaks for 5° ≤ 2θ ≤ 70°, in order of rising 2θ:
- 25.59 deg, d 3.481, intensity 28
- 29.63 deg, d 3.015, intensity 35
- 42.40 deg, d 2.132, intensity 100
- 50.18 deg, d 1.818, intensity 14
- 52.58 deg, d 1.741, intensity 10
- 61.52 deg, d 1.507, intensity 16
- 67.74 deg, d 1.383, intensity 6
- 69.75 deg, d 1.348, intensity 13

Diffraction record for Cs12Rb5Au3. The powder XRD pattern is calculated, not measured: it uses a DFT-relaxed cell (GGA-PBE, Alexandria) and Cu Kα.

Atomic structure:
```
data_Cs12Rb5Au3
_chemical_formula_sum 'Cs12 Rb5 Au3'
_space_group_name_H-M_alt 'P 1'
_space_group_IT_number 1
_cell_length_a 19.937
_cell_length_b 19.937
_cell_length_c 5.341
_cell_angle_alpha 90.00
_cell_angle_beta 90.00
_cell_angle_gamma 120.00
loop_
_space_group_symop_operation_xyz
'x,y,z'
loop_
_atom_site_label
_atom_site_fract_x
_atom_site_fract_y
_atom_site_fract_z
Cs1 0.000 0.207 0.000
Cs2 0.000 0.465 0.000
Cs3 0.207 0.000 0.000
Cs4 0.209 0.439 0.500
Cs5 0.230 0.791 0.500
Cs6 0.439 0.209 0.500
Cs7 0.465 0.000 0.000
Cs8 0.535 0.535 0.000
Cs9 0.561 0.770 0.500
Cs10 0.770 0.561 0.500
Cs11 0.791 0.230 0.500
Cs12 0.793 0.793 0.000
Rb1 0.000 0.728 0.000
Rb2 0.272 0.272 0.000
Rb3 0.333 0.667 0.000
Rb4 0.667 0.333 0.000
Rb5 0.728 0.000 0.000
Au1 0.000 0.334 0.500
Au2 0.334 0.000 0.500
Au3 0.666 0.666 0.500
```

Top 12 peaks for 5° ≤ 2θ ≤ 70°, in order of rising 2θ:
- 8.87 deg, d 9.969, intensity 100
- 18.53 deg, d 4.789, intensity 18
- 20.58 deg, d 4.317, intensity 29
- 21.50 deg, d 4.133, intensity 73
- 24.43 deg, d 3.644, intensity 27
- 24.97 deg, d 3.566, intensity 17
- 26.83 deg, d 3.323, intensity 18
- 29.00 deg, d 3.079, intensity 39
- 31.71 deg, d 2.821, intensity 40
- 33.56 deg, d 2.671, intensity 17
- 39.92 deg, d 2.258, intensity 17
- 47.36 deg, d 1.919, intensity 18